For RbCaZrF7, a cell relaxed with GGA-PBE gives the computed powder XRD pattern in this record (CuKα).
Kinematic intensities with the Lorentz-polarization factor, no thermal factor.

The 12 most intense peaks (2θ = 10–90°), in order of rising 2θ:
hkl  2θ/deg  I_rel
1 1 1  18.1  27.4
0 0 2  20.5  19.6
2 0 0  25.5  100.0
0 2 2  25.9  42.4
1 3 0  26.8  57.4
2 2 2  36.6  19.5
0 0 4  41.7  33.2
3 1 2  44.9  23.8
3 3 0  45.7  26.9
1 5 2  47.0  25.6
1 3 4  50.3  19.1
3 3 4  63.6  18.0

Structural model:
```
data_RbCaZrF7
_chemical_formula_sum 'Rb4 Ca4 Zr4 F28'
_symmetry_space_group_name_H-M 'C m c m'
_symmetry_Int_Tables_number 63
_symmetry_space_group_name_Hall '-C 2c 2'
_cell_length_a 6.992
_cell_length_b 11.366
_cell_length_c 8.662
_cell_angle_alpha 90.00
_cell_angle_beta 90.00
_cell_angle_gamma 90.00
loop_
_atom_site_label
_atom_site_type_symbol
_atom_site_fract_x
_atom_site_fract_y
_atom_site_fract_z
Rb1 Rb 0.000 0.000 0.000
Ca1 Ca 0.000 0.309 0.250
Zr1 Zr 0.000 0.307 0.750
F1 F 0.000 0.300 0.513
F2 F 0.000 0.490 0.750
F3 F 0.175 0.153 0.750
F4 F 0.206 0.143 0.250
```